For TlCu7S4, a structure optimized by DFT (GGA-PBE) gives the theoretical powder diffractogram in this record (a wavelength of 1.5418 Å).
No peak broadening, texture or thermal motion is included.

Largest 12 diffraction maxima, sorted by position, 2θ = 10–90°:
| index | 2θ/deg | I_rel |
| --- | --- | --- |
| 2 2 0 | 24.7 | 38 |
| 1 0 2 | 25.1 | 38 |
| 3 1 0 | 27.7 | 71 |
| 1 2 2 | 30.7 | 50 |
| 4 0 0 | 35.2 | 40 |
| 3 0 2 | 35.5 | 100 |
| 3 3 0 | 37.4 | 30 |
| 3 2 2 | 39.8 | 84 |
| 4 1 2 | 43.7 | 38 |
| 5 0 2 | 50.9 | 48 |
| 3 5 0 | 52.3 | 38 |
| 5 2 2 | 54.2 | 28 |

Structure:
```
TlCu7S4
1.0
10.194 0.000 0.000
0.000 10.194 0.000
0.000 0.000 7.577
Tl Cu S
4 28 16
Direct
0.250 0.250 0.117 Tl
0.250 0.250 0.622 Tl
0.750 0.750 0.378 Tl
0.750 0.750 0.883 Tl
0.000 0.000 0.000 Cu
0.000 0.500 0.000 Cu
0.024 0.553 0.655 Cu
0.053 0.976 0.345 Cu
0.110 0.717 0.387 Cu
0.118 0.728 0.880 Cu
0.217 0.890 0.613 Cu
0.228 0.882 0.120 Cu
0.272 0.618 0.120 Cu
0.283 0.610 0.613 Cu
0.382 0.772 0.880 Cu
0.390 0.783 0.387 Cu
0.447 0.524 0.345 Cu
0.476 0.947 0.655 Cu
0.500 0.000 0.000 Cu
0.500 0.500 0.000 Cu
0.524 0.053 0.345 Cu
0.553 0.476 0.655 Cu
0.610 0.217 0.613 Cu
0.618 0.228 0.120 Cu
0.717 0.390 0.387 Cu
0.728 0.382 0.880 Cu
0.772 0.118 0.880 Cu
0.783 0.110 0.387 Cu
0.882 0.272 0.120 Cu
0.890 0.283 0.613 Cu
0.947 0.024 0.655 Cu
0.976 0.447 0.345 Cu
0.009 0.811 0.631 S
0.010 0.809 0.133 S
0.189 0.509 0.369 S
0.191 0.510 0.867 S
0.309 0.990 0.867 S
0.311 0.991 0.369 S
0.490 0.691 0.133 S
0.491 0.689 0.631 S
0.509 0.311 0.369 S
0.510 0.309 0.867 S
0.689 0.009 0.631 S
0.691 0.010 0.133 S
0.809 0.490 0.133 S
0.811 0.491 0.631 S
0.990 0.191 0.867 S
0.991 0.189 0.369 S
```

---

For Tl2Cu2S3, a structure optimized by DFT (GGA-PBE) gives the theoretical powder diffractogram in this record (a wavelength of 1.5418 Å).
No peak broadening, texture or thermal motion is included.

Largest 12 diffraction maxima, sorted by position, 2θ = 10–90°:
| index | 2θ/deg | I_rel |
| --- | --- | --- |
| 2 0 3 | 25.7 | 61 |
| 2 1 0 | 26.4 | 53 |
| 2 1 1 | 27.3 | 100 |
| 4 0 1 | 29.4 | 69 |
| 1 0 4 | 29.5 | 34 |
| 0 1 3 | 31.0 | 84 |
| 2 0 4 | 32.0 | 29 |
| 4 1 2 | 39.2 | 71 |
| 0 1 5 | 42.6 | 38 |
| 0 2 0 | 45.2 | 50 |
| 2 2 3 | 52.7 | 29 |
| 4 2 1 | 54.9 | 36 |

Structure:
```
Tl2Cu2S3
1.0
12.538 0.000 0.000
0.000 4.011 0.000
0.000 0.000 12.488
Tl Cu S
8 8 12
Direct
0.066 0.250 0.249 Tl
0.171 0.250 0.925 Tl
0.329 0.750 0.425 Tl
0.434 0.750 0.749 Tl
0.566 0.250 0.251 Tl
0.671 0.250 0.575 Tl
0.829 0.750 0.075 Tl
0.934 0.750 0.751 Tl
0.078 0.750 0.527 Cu
0.206 0.250 0.654 Cu
0.294 0.750 0.154 Cu
0.422 0.250 0.027 Cu
0.578 0.750 0.973 Cu
0.706 0.250 0.846 Cu
0.794 0.750 0.346 Cu
0.922 0.250 0.473 Cu
0.116 0.750 0.122 S
0.127 0.250 0.447 S
0.139 0.750 0.708 S
0.361 0.250 0.208 S
0.373 0.750 0.947 S
0.384 0.250 0.622 S
0.616 0.750 0.378 S
0.627 0.250 0.053 S
0.639 0.750 0.792 S
0.861 0.250 0.292 S
0.873 0.750 0.553 S
0.884 0.250 0.878 S
```

---

For ZrTlCuS3, a structure optimized by DFT (GGA-PBE) gives the theoretical powder diffractogram in this record (a wavelength of 1.5418 Å).
No peak broadening, texture or thermal motion is included.

Largest 12 diffraction maxima, sorted by position, 2θ = 10–90°:
| index | 2θ/deg | I_rel |
| --- | --- | --- |
| 2 0 0 | 18.0 | 27 |
| 2 0 2 | 21.9 | 63 |
| 0 0 4 | 24.7 | 40 |
| 1 1 1 | 26.2 | 46 |
| 2 0 4 | 30.8 | 26 |
| 1 1 3 | 31.6 | 100 |
| 4 0 0 | 36.6 | 31 |
| 3 1 1 | 37.0 | 34 |
| 3 1 3 | 41.2 | 30 |
| 2 0 6 | 41.9 | 22 |
| 1 1 7 | 51.5 | 22 |
| 5 1 3 | 56.2 | 24 |

Structure:
```
ZrTlCuS3
1.0
9.829 0.000 0.000
0.000 3.743 0.000
0.000 0.000 14.404
Zr Tl Cu S
4 4 4 12
Direct
0.018 0.250 0.250 Zr
0.482 0.750 0.750 Zr
0.518 0.250 0.250 Zr
0.982 0.750 0.750 Zr
0.239 0.750 0.004 Tl
0.261 0.250 0.504 Tl
0.739 0.750 0.496 Tl
0.761 0.250 0.996 Tl
0.237 0.250 0.784 Cu
0.263 0.750 0.284 Cu
0.737 0.250 0.716 Cu
0.763 0.750 0.216 Cu
0.040 0.250 0.870 S
0.067 0.750 0.371 S
0.236 0.750 0.686 S
0.264 0.250 0.186 S
0.433 0.250 0.871 S
0.460 0.750 0.370 S
0.540 0.250 0.630 S
0.567 0.750 0.129 S
0.736 0.750 0.814 S
0.764 0.250 0.314 S
0.933 0.250 0.629 S
0.960 0.750 0.130 S
```

---

Number 1 is which compound? TlCu7S4